# 1
For Ca2SnHgPb, a PBE-relaxed structure gives the theoretical XRD peak list in this record (Cu Kα).
Lines closer than 0.1° are merged.

Peak list (12 most intense, 15 to 90 degrees two-theta, by intensity)
h k l	2theta	I/Imax
1 1 2	34.1	1000
2 1 -1	30.3	956
0 2 0	36.8	403
1 1 0	21.9	315
1 0 -3	33.2	295
0 1 1	21.4	284
3 0 1	41.7	217
3 2 1	56.8	200
0 0 2	22.7	189
2 3 -1	62.3	185
1 2 -3	50.4	182
1 3 2	64.6	173

Cell and atoms:
```
data_Ca2SnHgPb
_chemical_formula_sum 'Ca4 Sn2 Hg2 Pb2'
_cell_length_a 7.575
_cell_length_b 4.885
_cell_length_c 8.122
_cell_angle_alpha 90.00
_cell_angle_beta 105.53
_cell_angle_gamma 90.00
_symmetry_space_group_name_H-M 'P 1 21/m 1'
_symmetry_Int_Tables_number 11
loop_
_symmetry_equiv_pos_as_xyz
'x,y,z'
'-x,-y,-z'
'-x,y+1/2,-z'
'x,-y+1/2,z'
loop_
_atom_site_label
_atom_site_fract_x
_atom_site_fract_y
_atom_site_fract_z
Ca1 0.016 0.250 0.171
Ca2 0.424 0.750 0.639
Sn1 0.308 0.750 0.186
Hg1 0.333 0.250 0.956
Pb1 0.138 0.250 0.574
```

***

# 2
For Ca2SnHg5Pb, a PBE-relaxed structure gives the theoretical XRD peak list in this record (Cu Kα).
Lines closer than 0.1° are merged.

Peak list (12 most intense, 15 to 90 degrees two-theta, by intensity)
h k l	2theta	I/Imax
2 0 4	35.9	1000
2 2 0	26.5	856
2 1 3	31.0	695
3 1 0	29.7	528
2 1 1	22.2	415
4 1 3	45.6	395
4 1 1	39.8	301
3 3 4	51.2	246
5 3 0	56.4	216
6 2 4	70.3	206
4 2 4	53.2	175
5 1 4	58.6	151

Cell and atoms:
```
data_Ca2SnHg5Pb
_chemical_formula_sum 'Ca8 Sn4 Hg20 Pb4'
_cell_length_a 9.518
_cell_length_b 9.518
_cell_length_c 11.744
_cell_angle_alpha 90.00
_cell_angle_beta 90.00
_cell_angle_gamma 90.00
_symmetry_space_group_name_H-M 'I 4/m c m'
_symmetry_Int_Tables_number 140
_symmetry_space_group_name_Hall '-I 4 2c'
loop_
_atom_site_label
_atom_site_fract_x
_atom_site_fract_y
_atom_site_fract_z
Ca1 0.125 0.375 0.000
Sn1 0.000 0.500 0.250
Hg1 0.000 0.000 0.000
Hg2 0.189 0.311 0.359
Pb1 0.000 0.000 0.250
```

***

# 3
For CaTmHgPb, a PBE-relaxed structure gives the theoretical XRD peak list in this record (Cu Kα).
Lines closer than 0.1° are merged.

Peak list (12 most intense, 15 to 90 degrees two-theta, by intensity)
h k l	2theta	I/Imax
1 1 1	33.0	1000
0 0 2	34.1	228
0 2 0	34.9	214
1 1 3	60.3	179
1 3 1	61.4	170
0 2 2	49.6	160
2 2 2	69.1	120
2 0 0	44.9	107
0 1 1	24.2	104
2 0 2	57.5	103
2 2 0	58.1	100
3 1 1	75.1	95

Cell and atoms:
```
data_CaTmHgPb
_chemical_formula_sum 'Ca1 Tm1 Hg1 Pb1'
_cell_length_a 4.041
_cell_length_b 5.136
_cell_length_c 5.257
_cell_angle_alpha 90.00
_cell_angle_beta 90.00
_cell_angle_gamma 90.00
_symmetry_space_group_name_H-M 'P m m m'
_symmetry_Int_Tables_number 47
loop_
_symmetry_equiv_pos_as_xyz
'x,y,z'
'-x,-y,-z'
'-x,-y,z'
'x,y,-z'
'x,-y,-z'
'-x,y,z'
'-x,y,-z'
'x,-y,z'
loop_
_atom_site_label
_atom_site_fract_x
_atom_site_fract_y
_atom_site_fract_z
Ca1 0.000 0.000 0.000
Tm1 0.000 0.500 0.500
Hg1 0.500 0.500 0.000
Pb1 0.500 0.000 0.500
```

***

# 4
For CaHg5Pd, a PBE-relaxed structure gives the theoretical XRD peak list in this record (Cu Kα).
Lines closer than 0.1° are merged.

Peak list (12 most intense, 15 to 90 degrees two-theta, by intensity)
h k l	2theta	I/Imax
1 1 2	35.8	1000
2 0 0	37.4	550
3 1 2	66.4	336
1 0 1	22.0	222
1 1 0	26.2	206
1 1 1	28.9	198
2 2 0	53.9	193
2 0 3	53.1	158
1 1 5	69.0	120
0 0 3	36.3	116
1 1 3	45.3	99
2 0 4	63.3	93

Cell and atoms:
```
data_CaHg5Pd
_chemical_formula_sum 'Ca1 Hg5 Pd1'
_cell_length_a 4.814
_cell_length_b 4.814
_cell_length_c 7.426
_cell_angle_alpha 90.00
_cell_angle_beta 90.00
_cell_angle_gamma 90.00
_symmetry_space_group_name_H-M 'P 4/m m m'
_symmetry_Int_Tables_number 123
_symmetry_space_group_name_Hall '-P 4 2'
loop_
_atom_site_label
_atom_site_fract_x
_atom_site_fract_y
_atom_site_fract_z
Ca1 0.000 0.000 0.000
Hg1 0.000 0.500 0.293
Hg2 0.500 0.500 0.000
Pd1 0.000 0.000 0.500
```

***

# 5
For Ca3HgPd3, a PBE-relaxed structure gives the theoretical XRD peak list in this record (Cu Kα).
Lines closer than 0.1° are merged.

Peak list (12 most intense, 15 to 90 degrees two-theta, by intensity)
h k l	2theta	I/Imax
1 1 4	33.6	1000
0 2 2	21.0	783
1 3 3	37.9	640
1 3 0	32.6	465
2 0 0	40.9	389
1 1 6	44.4	342
0 4 4	42.8	318
1 1 1	22.7	253
2 4 4	60.7	224
2 2 2	46.4	205
1 3 2	35.0	203
0 2 0	16.8	167

Cell and atoms:
```
data_Ca3HgPd3
_chemical_formula_sum 'Ca12 Hg4 Pd12'
_cell_length_a 4.410
_cell_length_b 10.543
_cell_length_c 14.145
_cell_angle_alpha 90.00
_cell_angle_beta 90.00
_cell_angle_gamma 90.00
_symmetry_space_group_name_H-M 'C m c m'
_symmetry_Int_Tables_number 63
_symmetry_space_group_name_Hall '-C 2c 2'
loop_
_atom_site_label
_atom_site_fract_x
_atom_site_fract_y
_atom_site_fract_z
Ca1 0.000 0.027 0.250
Ca2 0.000 0.304 0.104
Hg1 0.000 0.000 0.000
Pd1 0.000 0.255 0.750
Pd2 0.000 0.405 0.596
```

***

# 6
For Ca2Hg2Pd3, a PBE-relaxed structure gives the theoretical XRD peak list in this record (Cu Kα).
Lines closer than 0.1° are merged.

Peak list (12 most intense, 15 to 90 degrees two-theta, by intensity)
h k l	2theta	I/Imax
3 1 2	39.0	1000
2 0 0	20.6	641
3 1 0	32.8	616
4 1 3	54.1	266
3 3 0	44.5	240
2 2 0	29.2	232
5 2 1	58.5	219
3 3 2	49.5	213
4 0 0	41.8	208
2 1 1	25.3	207
6 2 2	72.6	194
5 4 1	70.7	183

Cell and atoms:
```
data_Ca2Hg2Pd3
_chemical_formula_sum 'Ca8 Hg8 Pd12'
_cell_length_a 8.637
_cell_length_b 8.637
_cell_length_c 8.637
_cell_angle_alpha 90.00
_cell_angle_beta 90.00
_cell_angle_gamma 90.00
_symmetry_space_group_name_H-M 'I 21 3'
_symmetry_Int_Tables_number 199
_symmetry_space_group_name_Hall 'I 2b 2c 3'
loop_
_atom_site_label
_atom_site_fract_x
_atom_site_fract_y
_atom_site_fract_z
Ca1 0.246 0.246 0.246
Hg1 0.056 0.444 0.556
Pd1 0.000 0.250 0.023
```